Record 1
For CsGe2F6, DFT lattice parameters and positions (GGA-PBE) gives the computed powder diffraction line list in this record (copper Kα).
Lines closer than 0.1° are merged.

Crystal structure
```
data_CsGe2F6
_chemical_formula_sum 'Cs4 Ge8 F24'
_cell_length_a 11.295
_cell_length_b 9.345
_cell_length_c 7.626
_cell_angle_alpha 90.00
_cell_angle_beta 115.62
_cell_angle_gamma 90.00
_space_group_name_H-M_alt 'C 1 2/c 1'
_space_group_IT_number 15
_space_group_name_Hall '-C 2yc'
loop_
_atom_site_label
_atom_site_fract_x
_atom_site_fract_y
_atom_site_fract_z
Cs1 0.000 0.074 0.250
Ge1 0.132 0.376 0.777
F1 0.115 0.212 0.639
F2 0.146 0.498 0.599
F3 0.191 0.141 0.073
```

Top 6 peaks for 2θ from 10° to 80°, in order of rising 2θ:
hkl 0 2 1, 3.865 Å, I = 100; hkl 3 1 -1, 3.485 Å, I = 34; hkl 0 0 2, 3.439 Å, I = 38; hkl 3 1 0, 3.191 Å, I = 41; hkl 3 1 -2, 3.033 Å, I = 30; hkl 1 3 -2, 2.407 Å, I = 24

Record 2
For Cs3GeF7, DFT lattice parameters and positions (GGA-PBE) gives the computed powder diffraction line list in this record (copper Kα).
Lines closer than 0.1° are merged.

Crystal structure
```
data_Cs3GeF7
_chemical_formula_sum 'Cs6 Ge2 F14'
_cell_length_a 8.346
_cell_length_b 8.605
_cell_length_c 6.773
_cell_angle_alpha 90.00
_cell_angle_beta 91.75
_cell_angle_gamma 90.00
_space_group_name_H-M_alt 'C 1 m 1'
_space_group_IT_number 8
_space_group_name_Hall 'C -2y'
loop_
_atom_site_label
_atom_site_fract_x
_atom_site_fract_y
_atom_site_fract_z
Cs1 0.000 0.000 0.000
Cs2 0.250 0.250 0.486
Ge1 0.001 0.500 0.986
F1 0.120 0.500 0.760
F2 0.132 0.349 0.094
F3 0.371 0.151 0.878
F4 0.382 0.000 0.212
F5 0.499 0.500 0.462
```

Top 6 peaks for 2θ from 10° to 80°, in order of rising 2θ:
hkl 0 2 1, 3.631 Å, I = 100; hkl 2 0 -1, 3.601 Å, I = 54; hkl 2 0 1, 3.504 Å, I = 46; hkl 0 0 2, 3.385 Å, I = 48; hkl 2 2 0, 2.995 Å, I = 79; hkl 2 2 2, 2.219 Å, I = 37

Record 3
For Cs3GeF7, DFT lattice parameters and positions (GGA-PBE) gives the computed powder diffraction line list in this record (copper Kα).
Lines closer than 0.1° are merged.

Crystal structure
```
data_Cs3GeF7
_chemical_formula_sum 'Cs6 Ge2 F14'
_cell_length_a 8.565
_cell_length_b 8.565
_cell_length_c 6.321
_cell_angle_alpha 90.00
_cell_angle_beta 90.00
_cell_angle_gamma 90.00
_space_group_name_H-M_alt 'P 4/m b m'
_space_group_IT_number 127
_space_group_name_Hall '-P 4 2ab'
loop_
_atom_site_label
_atom_site_fract_x
_atom_site_fract_y
_atom_site_fract_z
Cs1 0.000 0.000 0.000
Cs2 0.195 0.305 0.500
Ge1 0.000 0.500 0.000
F1 0.000 0.000 0.500
F2 0.106 0.606 0.207
F3 0.152 0.348 0.000
```

Top 6 peaks for 2θ from 10° to 80°, in order of rising 2θ:
hkl 2 0 1, 3.545 Å, I = 100; hkl 2 1 1, 3.276 Å, I = 22; hkl 0 0 2, 3.161 Å, I = 27; hkl 2 2 0, 3.028 Å, I = 35; hkl 2 1 2, 2.438 Å, I = 26; hkl 2 2 2, 2.187 Å, I = 27

Record 4
For CsKGeF6, DFT lattice parameters and positions (GGA-PBE) gives the computed powder diffraction line list in this record (copper Kα).
Lines closer than 0.1° are merged.

Crystal structure
```
data_CsKGeF6
_chemical_formula_sum 'Cs1 K1 Ge1 F6'
_cell_length_a 6.2856
_cell_length_b 6.2856
_cell_length_c 5.6770
_cell_angle_alpha 90.00
_cell_angle_beta 90.00
_cell_angle_gamma 120.00
_space_group_name_H-M_alt 'P 3 1 2'
_space_group_IT_number 149
_space_group_name_Hall 'P 3 2'
loop_
_atom_site_label
_atom_site_fract_x
_atom_site_fract_y
_atom_site_fract_z
Cs1 0.0000 0.0000 0.0000
K1 0.3333 0.6667 0.5000
Ge1 0.6667 0.3333 0.5000
F1 0.4279 0.0918 0.6853
```

Top 6 peaks for 2θ from 10° to 80°, in order of rising 2θ:
hkl 1 0 0, 5.443 Å, I = 18; hkl 1 0 1, 3.929 Å, I = 100; hkl 1 1 0, 3.143 Å, I = 31; hkl 2 0 1, 2.454 Å, I = 22; hkl 2 -1 2, 2.107 Å, I = 32; hkl 3 -1 1, 1.934 Å, I = 25

Record 5
For CsZnGeTeF, DFT lattice parameters and positions (GGA-PBE) gives the computed powder diffraction line list in this record (copper Kα).
Lines closer than 0.1° are merged.

Crystal structure
```
data_CsZnGeTeF
_chemical_formula_sum 'Cs1 Zn1 Ge1 Te1 F1'
_cell_length_a 4.117
_cell_length_b 5.442
_cell_length_c 7.507
_cell_angle_alpha 79.09
_cell_angle_beta 88.73
_cell_angle_gamma 82.46
_space_group_name_H-M_alt 'P 1'
_space_group_IT_number 1
_space_group_name_Hall 'P 1'
loop_
_atom_site_label
_atom_site_fract_x
_atom_site_fract_y
_atom_site_fract_z
Cs1 0.000 0.000 0.000
Zn1 0.377 0.995 0.501
Ge1 0.502 0.573 0.696
Te1 0.028 0.464 0.473
F1 0.483 0.064 0.241
```

Top 6 peaks for 2θ from 10° to 80°, in order of rising 2θ:
hkl 0 1 -1, 3.963 Å, I = 82; hkl 0 0 2, 3.686 Å, I = 59; hkl 1 1 1, 3.286 Å, I = 100; hkl -1 1 1, 2.934 Å, I = 60; hkl 1 0 -2, 2.736 Å, I = 82; hkl 0 2 0, 2.649 Å, I = 60

Record 6
For Cs2HF3, DFT lattice parameters and positions (GGA-PBE) gives the computed powder diffraction line list in this record (copper Kα).
Lines closer than 0.1° are merged.

Crystal structure
```
data_Cs2HF3
_chemical_formula_sum 'Cs4 H2 F6'
_cell_length_a 6.241
_cell_length_b 8.151
_cell_length_c 6.698
_cell_angle_alpha 90.00
_cell_angle_beta 106.04
_cell_angle_gamma 90.00
_space_group_name_H-M_alt 'P 1 21/m 1'
_space_group_IT_number 11
_space_group_name_Hall '-P 2yb'
loop_
_atom_site_label
_atom_site_fract_x
_atom_site_fract_y
_atom_site_fract_z
Cs1 0.213 0.007 0.268
H1 0.210 0.750 0.594
F1 0.009 0.750 0.012
F2 0.021 0.750 0.529
F3 0.404 0.750 0.638
```

Top 6 peaks for 2θ from 10° to 80°, in order of rising 2θ:
hkl 1 0 -1, 5.156 Å, I = 100; hkl 1 0 1, 3.886 Å, I = 47; hkl 1 2 -1, 3.197 Å, I = 61; hkl 1 2 1, 2.812 Å, I = 56; hkl 0 2 2, 2.528 Å, I = 60; hkl 2 2 0, 2.416 Å, I = 36

Record 7
For Cs5H2F3, DFT lattice parameters and positions (GGA-PBE) gives the computed powder diffraction line list in this record (copper Kα).
Lines closer than 0.1° are merged.

Crystal structure
```
data_Cs5H2F3
_chemical_formula_sum 'Cs10 H4 F6'
_cell_length_a 15.756
_cell_length_b 4.375
_cell_length_c 11.308
_cell_angle_alpha 90.00
_cell_angle_beta 125.64
_cell_angle_gamma 90.00
_space_group_name_H-M_alt 'C 1 2/m 1'
_space_group_IT_number 12
_space_group_name_Hall '-C 2y'
loop_
_atom_site_label
_atom_site_fract_x
_atom_site_fract_y
_atom_site_fract_z
Cs1 0.000 0.000 0.000
Cs2 0.094 0.000 0.413
Cs3 0.198 0.500 0.807
H1 0.169 0.500 0.267
F1 0.000 0.500 0.500
F2 0.113 0.000 0.872
```

Top 6 peaks for 2θ from 10° to 80°, in order of rising 2θ:
hkl 1 1 0, 4.140 Å, I = 55; hkl 4 0 -1, 3.785 Å, I = 100; hkl 2 0 -3, 3.739 Å, I = 96; hkl 3 1 -2, 3.243 Å, I = 76; hkl 2 0 2, 2.997 Å, I = 82; hkl 0 2 0, 2.189 Å, I = 56

Record 8
For Cs2HF, DFT lattice parameters and positions (GGA-PBE) gives the computed powder diffraction line list in this record (copper Kα).
Lines closer than 0.1° are merged.

Crystal structure
```
data_Cs2HF
_chemical_formula_sum 'Cs8 H4 F4'
_cell_length_a 6.243
_cell_length_b 6.246
_cell_length_c 12.494
_cell_angle_alpha 90.00
_cell_angle_beta 90.00
_cell_angle_gamma 90.00
_space_group_name_H-M_alt 'P m n a'
_space_group_IT_number 53
_space_group_name_Hall '-P 2ac 2'
loop_
_atom_site_label
_atom_site_fract_x
_atom_site_fract_y
_atom_site_fract_z
Cs1 0.000 0.249 0.132
Cs2 0.000 0.250 0.618
H1 0.000 0.251 0.875
F1 0.000 0.249 0.375
```

Top 6 peaks for 2θ from 10° to 80°, in order of rising 2θ:
hkl 1 1 2, 3.606 Å, I = 100; hkl 2 0 0, 3.123 Å, I = 73; hkl 2 2 0, 2.208 Å, I = 53; hkl 3 1 2, 1.883 Å, I = 47; hkl 3 3 2, 1.433 Å, I = 20; hkl 4 2 0, 1.396 Å, I = 23

Record 9
For Cs4H3F2, DFT lattice parameters and positions (GGA-PBE) gives the computed powder diffraction line list in this record (copper Kα).
Lines closer than 0.1° are merged.

Crystal structure
```
data_Cs4H3F2
_chemical_formula_sum 'Cs16 H12 F8'
_cell_length_a 12.365
_cell_length_b 11.294
_cell_length_c 8.062
_cell_angle_alpha 90.00
_cell_angle_beta 96.20
_cell_angle_gamma 90.00
_space_group_name_H-M_alt 'C 1 2/c 1'
_space_group_IT_number 15
_space_group_name_Hall '-C 2yc'
loop_
_atom_site_label
_atom_site_fract_x
_atom_site_fract_y
_atom_site_fract_z
Cs1 0.114 0.121 0.045
Cs2 0.132 0.373 0.524
H1 0.000 0.288 0.750
H2 0.108 0.362 0.889
F1 0.127 0.123 0.407
```

Top 6 peaks for 2θ from 10° to 80°, in order of rising 2θ:
hkl 0 0 2, 4.008 Å, I = 63; hkl 2 2 -1, 3.807 Å, I = 100; hkl 2 2 1, 3.586 Å, I = 92; hkl 4 0 0, 3.073 Å, I = 41; hkl 0 4 0, 2.823 Å, I = 34; hkl 0 4 2, 2.308 Å, I = 29

Record 10
For CsHIF6, DFT lattice parameters and positions (GGA-PBE) gives the computed powder diffraction line list in this record (copper Kα).
Lines closer than 0.1° are merged.

Crystal structure
```
data_CsHIF6
_chemical_formula_sum 'Cs1 H1 I1 F6'
_cell_length_a 5.057
_cell_length_b 5.112
_cell_length_c 7.324
_cell_angle_alpha 102.14
_cell_angle_beta 91.46
_cell_angle_gamma 118.36
_space_group_name_H-M_alt 'P 1'
_space_group_IT_number 1
_space_group_name_Hall 'P 1'
loop_
_atom_site_label
_atom_site_fract_x
_atom_site_fract_y
_atom_site_fract_z
Cs1 0.000 0.000 0.000
H1 0.746 0.508 0.316
I1 0.335 0.681 0.547
F1 0.112 0.235 0.417
F2 0.284 0.572 0.800
F3 0.384 0.788 0.298
F4 0.557 0.118 0.705
F5 0.701 0.418 0.177
F6 0.821 0.653 0.521
```

Top 6 peaks for 2θ from 10° to 80°, in order of rising 2θ:
hkl 0 1 0, 4.347 Å, I = 47; hkl 0 1 -1, 4.214 Å, I = 82; hkl 1 0 -1, 4.010 Å, I = 48; hkl -1 1 1, 3.537 Å, I = 100; hkl 1 0 1, 3.516 Å, I = 52; hkl 2 -1 0, 2.527 Å, I = 64

Record 11
For CsHIF7, DFT lattice parameters and positions (GGA-PBE) gives the computed powder diffraction line list in this record (copper Kα).
Lines closer than 0.1° are merged.

Crystal structure
```
data_CsHIF7
_chemical_formula_sum 'Cs2 H2 I2 F14'
_cell_length_a 5.479
_cell_length_b 8.384
_cell_length_c 8.700
_cell_angle_alpha 109.54
_cell_angle_beta 108.35
_cell_angle_gamma 91.35
_space_group_name_H-M_alt 'P -1'
_space_group_IT_number 2
_space_group_name_Hall '-P 1'
loop_
_atom_site_label
_atom_site_fract_x
_atom_site_fract_y
_atom_site_fract_z
Cs1 0.154 0.333 0.230
H1 0.187 0.726 0.555
I1 0.293 0.151 0.739
F1 0.061 0.857 0.530
F2 0.098 0.332 0.832
F3 0.211 0.041 0.888
F4 0.269 0.627 0.582
F5 0.422 0.983 0.279
F6 0.447 0.719 0.045
F7 0.455 0.309 0.665
```

Top 6 peaks for 2θ from 10° to 80°, in order of rising 2θ:
hkl 0 2 -1, 4.137 Å, I = 100; hkl 1 1 0, 4.040 Å, I = 58; hkl 0 0 2, 3.852 Å, I = 52; hkl 1 -1 1, 3.803 Å, I = 46; hkl 1 1 -2, 3.774 Å, I = 58; hkl 1 3 -3, 2.243 Å, I = 43

Record 12
For CsLi2H2F6, DFT lattice parameters and positions (GGA-PBE) gives the computed powder diffraction line list in this record (copper Kα).
Lines closer than 0.1° are merged.

Crystal structure
```
data_CsLi2H2F6
_chemical_formula_sum 'Cs1 Li2 H2 F6'
_cell_length_a 5.526
_cell_length_b 5.692
_cell_length_c 6.447
_cell_angle_alpha 92.97
_cell_angle_beta 114.40
_cell_angle_gamma 117.66
_space_group_name_H-M_alt 'P -1'
_space_group_IT_number 2
_space_group_name_Hall '-P 1'
loop_
_atom_site_label
_atom_site_fract_x
_atom_site_fract_y
_atom_site_fract_z
Cs1 0.000 0.000 0.000
Li1 0.315 0.291 0.603
H1 0.253 0.751 0.509
F1 0.135 0.873 0.505
F2 0.379 0.636 0.513
F3 0.431 0.613 0.054
```

Top 6 peaks for 2θ from 10° to 80°, in order of rising 2θ:
hkl 0 1 0, 4.806 Å, I = 40; hkl 1 -1 0, 4.647 Å, I = 87; hkl -1 1 1, 4.111 Å, I = 54; hkl 1 -1 1, 3.204 Å, I = 58; hkl 0 0 2, 2.799 Å, I = 66; hkl 1 1 0, 2.577 Å, I = 100

Record 13
For CsPHO3F, DFT lattice parameters and positions (GGA-PBE) gives the computed powder diffraction line list in this record (copper Kα).
Lines closer than 0.1° are merged.

Crystal structure
```
data_CsPHO3F
_chemical_formula_sum 'Cs2 P2 H2 O6 F2'
_cell_length_a 5.615
_cell_length_b 5.963
_cell_length_c 7.856
_cell_angle_alpha 108.12
_cell_angle_beta 100.50
_cell_angle_gamma 92.27
_space_group_name_H-M_alt 'P -1'
_space_group_IT_number 2
_space_group_name_Hall '-P 1'
loop_
_atom_site_label
_atom_site_fract_x
_atom_site_fract_y
_atom_site_fract_z
Cs1 0.096 0.354 0.226
P1 0.348 0.138 0.731
H1 0.457 0.813 0.538
O1 0.136 0.186 0.822
O2 0.355 0.861 0.640
O3 0.396 0.274 0.604
F1 0.409 0.795 0.108
```

Top 6 peaks for 2θ from 10° to 80°, in order of rising 2θ:
hkl 1 -1 1, 3.747 Å, I = 100; hkl 0 0 2, 3.654 Å, I = 49; hkl -1 1 1, 3.488 Å, I = 47; hkl 1 1 -2, 3.256 Å, I = 39; hkl 0 2 -1, 2.973 Å, I = 27; hkl 2 0 -1, 2.764 Å, I = 20